No. 1
# Tb8CeEr4
Computed PXRD pattern, λ = 1.5418 Å (Cu Kα). Input: a DFT-relaxed cell (PBE, Alexandria).
Neutral-atom scattering factors, no anomalous dispersion.

Main lines, in order of rising 2θ (10° ≤ 2θ ≤ 90°):
2θ (°)	intensity
28.6	18
30.0	32
31.4	100
33.0	44
39.3	29
50.2	31
53.1	19
59.6	25
60.5	14
66.4	9
82.4	11
84.1	10

Crystal structure
a b c (Å): 9.863 9.863 9.863
angles (deg): 43.22 43.22 43.22
Positions (direct):
Tb: 0.200 0.745 0.745
Tb: 0.221 0.221 0.221
Tb: 0.255 0.255 0.800
Tb: 0.255 0.800 0.255
Tb: 0.745 0.200 0.745
Tb: 0.745 0.745 0.200
Tb: 0.779 0.779 0.779
Tb: 0.800 0.255 0.255
Ce: 0.500 0.500 0.500
Er: 0.000 0.000 0.000
Er: 0.000 0.500 0.500
Er: 0.500 0.000 0.500
Er: 0.500 0.500 0.000

=====

No. 2
# Pu2AlPt5
Computed PXRD pattern, λ = 1.5418 Å (Cu Kα). Input: a DFT-relaxed cell (PBE, Alexandria).
Neutral-atom scattering factors, no anomalous dispersion.

Main lines, in order of rising 2θ (10° ≤ 2θ ≤ 90°):
2θ (°)	intensity
17.2	14
20.4	12
30.0	16
34.9	100
35.7	17
38.2	88
41.4	68
42.3	12
44.5	28
62.4	37
69.2	19
75.5	22

Crystal structure
a b c (Å): 5.995 5.995 5.995
angles (deg): 122.44 112.69 94.46
Positions (direct):
Pu: 0.000 0.000 0.000
Pu: 0.463 0.463 0.000
Al: 0.278 0.778 0.500
Pt: 0.511 0.465 0.528
Pt: 0.511 0.983 0.046
Pt: 0.937 0.465 0.954
Pt: 0.937 0.983 0.472
Pt: 0.967 0.467 0.500

=====

No. 3
# MnReAs2
Computed PXRD pattern, λ = 1.5418 Å (Cu Kα). Input: a DFT-relaxed cell (PBE, Alexandria).
Neutral-atom scattering factors, no anomalous dispersion.

Main lines, in order of rising 2θ (10° ≤ 2θ ≤ 90°):
2θ (°)	intensity
19.0	33
20.2	41
27.8	21
29.5	76
35.4	45
38.6	55
41.6	20
45.5	51
46.1	100
49.3	37
75.1	23
76.0	22

Crystal structure
a b c (Å): 4.670 4.689 4.689
angles (deg): 40.17 90.00 90.00
Positions (direct):
Mn: 0.000 0.000 0.000
Re: 0.500 0.578 0.578
As: 0.000 0.703 0.703
As: 0.500 0.871 0.871

=====

No. 4
# Hg4TePBr2
Computed PXRD pattern, λ = 1.5418 Å (Cu Kα). Input: a DFT-relaxed cell (PBE, Alexandria).
Neutral-atom scattering factors, no anomalous dispersion.

Main lines, in order of rising 2θ (10° ≤ 2θ ≤ 90°):
2θ (°)	intensity
22.4	40
25.2	37
25.6	38
26.2	77
30.7	100
31.1	98
31.4	33
31.6	30
40.8	45
41.1	45
43.8	35
44.6	37

Crystal structure
a b c (Å): 8.914 8.914 8.119
angles (deg): 116.76 116.76 99.52
Positions (direct):
Hg: 0.196 0.801 0.993
Hg: 0.199 0.804 0.507
Hg: 0.209 0.241 0.473
Hg: 0.241 0.209 0.973
Hg: 0.759 0.791 0.027
Hg: 0.791 0.759 0.527
Hg: 0.801 0.196 0.493
Hg: 0.804 0.199 0.007
Te: 0.000 0.500 0.500
Te: 0.500 0.000 0.000
P: 0.000 0.000 0.000
P: 0.000 0.000 0.500
Br: 0.000 0.500 0.000
Br: 0.500 0.000 0.500
Br: 0.500 0.500 0.000
Br: 0.500 0.500 0.500

=====

No. 5
# Co3Ni7Ir
Computed PXRD pattern, λ = 1.5418 Å (Cu Kα). Input: a DFT-relaxed cell (PBE, Alexandria).
Neutral-atom scattering factors, no anomalous dispersion.

Main lines, in order of rising 2θ (10° ≤ 2θ ≤ 90°):
2θ (°)	intensity
12.9	35
21.6	22
24.6	20
34.9	23
39.9	24
44.0	57
45.3	100
46.1	88
47.0	50
47.6	44
48.9	22
69.2	24

Crystal structure
a b c (Å): 4.536 4.536 6.903
angles (deg): 92.06 92.06 114.61
Positions (direct):
Co: 0.000 0.000 0.000
Co: 0.250 0.814 0.429
Co: 0.814 0.250 0.429
Ni: 0.054 0.517 0.128
Ni: 0.364 0.364 0.559
Ni: 0.407 0.957 0.771
Ni: 0.517 0.054 0.128
Ni: 0.672 0.672 0.290
Ni: 0.857 0.857 0.642
Ni: 0.957 0.407 0.771
Ir: 0.505 0.505 0.928

=====

No. 6
# Al
Computed PXRD pattern, λ = 1.5418 Å (Cu Kα). Input: a DFT-relaxed cell (PBE, Alexandria).
Neutral-atom scattering factors, no anomalous dispersion.

Main lines, in order of rising 2θ (10° ≤ 2θ ≤ 90°):
2θ (°)	intensity
34.6	13
34.8	7
39.4	100
39.6	75
41.8	28
47.9	18
57.1	19
67.2	8
68.5	20
71.5	27
77.6	13
80.8	24

Crystal structure
a b c (Å): 7.917 7.917 2.786
angles (deg): 90.00 90.00 120.00
Positions (direct):
Al: 0.000 0.000 0.000
Al: 0.000 0.302 0.500
Al: 0.000 0.633 0.000
Al: 0.302 0.000 0.500
Al: 0.333 0.667 0.500
Al: 0.367 0.367 0.000
Al: 0.633 0.000 0.000
Al: 0.667 0.333 0.500
Al: 0.698 0.698 0.500

=====

No. 7
# TbNpSc2As4
Computed PXRD pattern, λ = 1.5418 Å (Cu Kα). Input: a DFT-relaxed cell (PBE, Alexandria).
Neutral-atom scattering factors, no anomalous dispersion.

Main lines, in order of rising 2θ (10° ≤ 2θ ≤ 90°):
2θ (°)	intensity
13.6	29
26.1	25
31.6	100
34.6	10
41.5	8
45.3	49
45.5	24
56.4	13
66.1	12
75.0	16
75.3	10
83.9	12

Crystal structure
a b c (Å): 6.908 3.999 6.944
angles (deg): 90.00 109.39 90.00
Positions (direct):
Tb: 0.000 0.000 0.000
Np: 0.000 0.500 0.500
Sc: 0.500 0.000 0.500
Sc: 0.500 0.500 0.000
As: 0.264 0.000 0.753
As: 0.264 0.500 0.258
As: 0.736 0.000 0.247
As: 0.736 0.500 0.742

=====

No. 8
# NaI2F8
Computed PXRD pattern, λ = 1.5418 Å (Cu Kα). Input: a DFT-relaxed cell (PBE, Alexandria).
Neutral-atom scattering factors, no anomalous dispersion.

Main lines, in order of rising 2θ (10° ≤ 2θ ≤ 90°):
2θ (°)	intensity
14.1	90
17.9	44
22.8	100
31.2	70
33.7	31
34.4	62
39.0	25
42.7	43
47.0	21
50.8	21
57.6	42
66.9	25

Crystal structure
a b c (Å): 5.730 5.730 6.294
angles (deg): 90.00 90.00 120.00
Positions (direct):
Na: 0.000 0.000 0.000
I: 0.333 0.667 0.456
I: 0.667 0.333 0.544
F: 0.177 0.355 0.247
F: 0.177 0.823 0.247
F: 0.333 0.667 0.774
F: 0.355 0.177 0.753
F: 0.645 0.823 0.247
F: 0.667 0.333 0.226
F: 0.823 0.177 0.753
F: 0.823 0.645 0.753

=====

No. 9
# InGe2S3
Computed PXRD pattern, λ = 1.5418 Å (Cu Kα). Input: a DFT-relaxed cell (PBE, Alexandria).
Neutral-atom scattering factors, no anomalous dispersion.

Main lines, in order of rising 2θ (10° ≤ 2θ ≤ 90°):
2θ (°)	intensity
27.4	35
28.0	29
31.8	100
32.8	48
44.8	17
46.4	84
53.7	15
54.8	11
56.6	16
58.0	17
76.2	13
77.8	14

Crystal structure
a b c (Å): 6.783 6.783 6.783
angles (deg): 132.52 60.12 145.32
Positions (direct):
In: 0.000 0.000 0.000
Ge: 0.314 0.983 0.330
Ge: 0.653 0.983 0.670
S: 0.067 0.567 0.500
S: 0.371 0.547 0.824
S: 0.723 0.547 0.176

=====

No. 10
# Na3LiCd4
Computed PXRD pattern, λ = 1.5418 Å (Cu Kα). Input: a DFT-relaxed cell (PBE, Alexandria).
Neutral-atom scattering factors, no anomalous dispersion.

Main lines, in order of rising 2θ (10° ≤ 2θ ≤ 90°):
2θ (°)	intensity
22.8	36
25.2	55
34.2	100
35.9	43
42.9	25
46.5	10
51.6	13
53.6	13
57.1	9
60.1	17
63.4	22
72.0	9

Crystal structure
a b c (Å): 5.275 5.275 9.276
angles (deg): 111.65 111.65 56.72
Positions (direct):
Na: 0.000 0.000 0.000
Na: 0.247 0.247 0.756
Na: 0.753 0.753 0.244
Li: 0.500 0.500 0.500
Cd: 0.135 0.135 0.390
Cd: 0.388 0.388 0.147
Cd: 0.612 0.612 0.853
Cd: 0.865 0.865 0.610

=====

No. 11
# La5P4O
Computed PXRD pattern, λ = 1.5418 Å (Cu Kα). Input: a DFT-relaxed cell (PBE, Alexandria).
Neutral-atom scattering factors, no anomalous dispersion.

Main lines, in order of rising 2θ (10° ≤ 2θ ≤ 90°):
2θ (°)	intensity
26.1	100
29.8	39
30.4	80
43.1	57
43.5	29
50.7	16
51.4	31
53.6	29
68.9	13
71.4	12
71.7	12
79.5	17

Crystal structure
a b c (Å): 7.234 7.234 7.234
angles (deg): 99.88 99.88 131.07
Positions (direct):
La: 0.000 0.000 0.000
La: 0.155 0.349 0.612
La: 0.349 0.737 0.194
La: 0.543 0.155 0.806
La: 0.737 0.543 0.388
P: 0.042 0.646 0.796
P: 0.247 0.042 0.397
P: 0.646 0.850 0.603
P: 0.850 0.247 0.204
O: 0.383 0.383 0.000

=====

No. 12
# TbCe2Tm7
Computed PXRD pattern, λ = 1.5418 Å (Cu Kα). Input: a DFT-relaxed cell (PBE, Alexandria).
Neutral-atom scattering factors, no anomalous dispersion.

Main lines, in order of rising 2θ (10° ≤ 2θ ≤ 90°):
2θ (°)	intensity
31.3	100
36.2	17
36.4	34
52.3	24
52.4	12
62.1	14
62.3	21
62.4	7
65.4	12
85.5	9
85.7	4
88.5	6

Crystal structure
a b c (Å): 4.959 6.983 9.244
angles (deg): 79.00 74.45 89.94
Positions (direct):
Tb: 0.000 0.000 0.000
Ce: 0.201 0.595 0.599
Ce: 0.799 0.405 0.401
Tm: 0.000 0.500 0.000
Tm: 0.201 0.103 0.599
Tm: 0.399 0.697 0.202
Tm: 0.400 0.200 0.201
Tm: 0.600 0.800 0.799
Tm: 0.601 0.303 0.798
Tm: 0.799 0.897 0.401

=====

Please write out number 1 again, unchanged.
# Tb8CeEr4
Computed PXRD pattern, λ = 1.5418 Å (Cu Kα). Input: a DFT-relaxed cell (PBE, Alexandria).
Neutral-atom scattering factors, no anomalous dispersion.

Main lines, in order of rising 2θ (10° ≤ 2θ ≤ 90°):
2θ (°)	intensity
28.6	18
30.0	32
31.4	100
33.0	44
39.3	29
50.2	31
53.1	19
59.6	25
60.5	14
66.4	9
82.4	11
84.1	10

Crystal structure
a b c (Å): 9.863 9.863 9.863
angles (deg): 43.22 43.22 43.22
Positions (direct):
Tb: 0.200 0.745 0.745
Tb: 0.221 0.221 0.221
Tb: 0.255 0.255 0.800
Tb: 0.255 0.800 0.255
Tb: 0.745 0.200 0.745
Tb: 0.745 0.745 0.200
Tb: 0.779 0.779 0.779
Tb: 0.800 0.255 0.255
Ce: 0.500 0.500 0.500
Er: 0.000 0.000 0.000
Er: 0.000 0.500 0.500
Er: 0.500 0.000 0.500
Er: 0.500 0.500 0.000